Computed powder XRD pattern of Er6PdPt5 for Cu Kα, 1.54184 Å, from a cell relaxed with PBE.
No peak broadening, texture or thermal motion is included.

Crystal structure
Lattice parameters (Å, degrees): 4.9109 6.8942 14.7426 90.00 90.00 90.00
Space group Immm (No. 71)
Asymmetric unit:
Er 0.0000 0.2469 0.0000 (multiplicity 4)
Er 0.0000 0.2516 0.3325 (multiplicity 8)
Pd 0.0000 0.0000 0.5000 (multiplicity 2)
Pt 0.0000 0.0000 0.1693 (multiplicity 4)
Pt 0.0000 0.5000 0.1620 (multiplicity 4)
Pt 0.0000 0.5000 0.5000 (multiplicity 2)

Largest 9 diffraction maxima, by intensity, 5° ≤ 2θ ≤ 70°:
(hkl)	two_theta	I/Imax
1 2 3	36.73	1000
2 0 0	36.58	505
3 2 3	65.96	364
2 4 0	66.24	180
2 0 6	52.70	178
0 4 0	53.14	88
1 1 2	25.33	6
0 1 1	14.18	6
1 1 0	22.22	5

=====

Computed powder XRD pattern of ErPd3Pt for Cu Kα, 1.54184 Å, from a cell relaxed with PBE.
No peak broadening, texture or thermal motion is included.

Crystal structure
Lattice parameters (Å, degrees): 7.0804 7.0804 7.0804 90.00 90.00 90.00
Space group P2_13 (No. 198)
Asymmetric unit:
Er 0.1981 0.1981 0.1981 (multiplicity 4)
Pd 0.0582 0.1250 0.8025 (multiplicity 12)
Pt 0.0471 0.9529 0.4529 (multiplicity 4)

Largest 10 diffraction maxima, by intensity, 5° ≤ 2θ ≤ 70°:
(hkl)	two_theta	I/Imax
2 2 1	38.13	1000
3 1 0	40.28	534
3 1 1	42.34	514
4 1 3	67.45	379
2 2 0	35.87	179
3 2 1	48.08	174
1 1 1	21.74	163
1 1 0	17.72	120
4 1 1	55.03	75
3 2 0	46.23	62

=====

Computed powder XRD pattern of Er4Pd12Pt for Cu Kα, 1.54184 Å, from a cell relaxed with PBE.
No peak broadening, texture or thermal motion is included.

Crystal structure
Lattice parameters (Å, degrees): 8.4933 8.4933 8.4933 90.00 90.00 90.00
Space group Im-3m (No. 229)
Asymmetric unit:
Er 0.2500 0.2500 0.2500 (multiplicity 8)
Pd 0.0000 0.0000 0.3011 (multiplicity 12)
Pd 0.0000 0.2500 0.5000 (multiplicity 12)
Pt 0.0000 0.0000 0.0000 (multiplicity 2)

Largest 10 diffraction maxima, by intensity, 5° ≤ 2θ ≤ 70°:
(hkl)	two_theta	I/Imax
2 2 2	36.65	1000
4 0 0	42.58	730
4 4 0	61.79	409
2 2 0	29.75	245
3 2 1	39.71	212
3 3 2	50.39	156
3 1 0	33.36	130
3 3 0	45.30	98
4 2 2	52.80	51
4 3 3	63.91	39